Record 1
# KCo2Pd
Theoretical XRD peak list, a wavelength of 1.5418 Å. Input: the GGA-PBE geometry in Alexandria.

Most intense lines, 5° ≤ 2θ ≤ 70°, in order of falling intensity:
Position (°2θ)	I/Imax	index
19.72	100	1 0 1
28.95	72	1 1 2
59.99	28	2 2 4
41.29	26	1 1 6
41.18	22	0 0 8
44.02	22	2 0 4
46.26	21	2 1 3
40.05	20	2 0 2
38.65	16	2 0 0
50.98	16	2 1 5

Structure:
Cell: 4.6592 4.6592 17.5376 Å, 90.00 90.00 90.00°
Space group I4_1/amd (No. 141, origin choice 2)
Inequivalent atoms, fractional coordinates:
K 0.0000 0.2500 0.3750 (multiplicity 4)
Co 0.0000 0.0000 0.0000 (multiplicity 8)
Pd 0.0000 0.2500 0.8750 (multiplicity 4)



Record 2
# CsLaO2
Theoretical XRD peak list, a wavelength of 1.5418 Å. Input: the GGA-PBE geometry in Alexandria.

Most intense lines, 5° ≤ 2θ ≤ 70°, in order of falling intensity:
Position (°2θ)	I/Imax	index
29.22	100	1 1 2
24.46	43	0 0 4
23.75	25	2 0 0
24.54	25	2 0 1
46.12	25	1 1 6
30.14	25	2 0 3
43.93	25	3 1 1
34.36	17	2 0 4
54.85	15	0 2 4
54.16	14	3 1 5

Structure:
Cell: 7.4918 3.7710 14.5535 Å, 90.00 90.00 90.00°
Space group Pnma (No. 62)
Inequivalent atoms, fractional coordinates:
Cs 0.0874 0.2500 0.1243 (multiplicity 4)
La 0.0531 0.7500 0.3964 (multiplicity 4)
O 0.0285 0.7500 0.6865 (multiplicity 4)
O 0.1734 0.2500 0.4985 (multiplicity 4)



Record 3
# As3Ru5
Theoretical XRD peak list, a wavelength of 1.5418 Å. Input: the GGA-PBE geometry in Alexandria.

Most intense lines, 5° ≤ 2θ ≤ 70°, in order of falling intensity:
Position (°2θ)	I/Imax	index
43.48	100	2 2 -1
37.80	76	1 0 -2
42.64	53	-1 1 2
42.78	47	2 1 3
44.94	44	1 3 2
39.80	44	1 3 1
38.17	40	1 -2 1
44.52	39	0 3 -1
36.44	38	2 0 2
44.41	35	0 1 -3

Structure:
Cell: 5.8795 6.9323 6.9541 Å, 82.08 68.10 68.15°
Space group P1 (No. 1)
Inequivalent atoms, fractional coordinates:
As 0.0000 0.0000 0.0000 (multiplicity 1)
As 0.0039 0.1301 0.4513 (multiplicity 1)
As 0.3042 0.3457 0.9851 (multiplicity 1)
As 0.4114 0.2425 0.4983 (multiplicity 1)
As 0.4673 0.6924 0.3507 (multiplicity 1)
As 0.7590 0.6939 0.7173 (multiplicity 1)
Ru 0.0147 0.3418 0.7947 (multiplicity 1)
Ru 0.0507 0.4634 0.3546 (multiplicity 1)
Ru 0.3447 0.9206 0.6500 (multiplicity 1)
Ru 0.3596 0.6835 0.0478 (multiplicity 1)
Ru 0.4678 0.0478 0.2054 (multiplicity 1)
Ru 0.5481 0.4627 0.6498 (multiplicity 1)
Ru 0.7543 0.0348 0.7771 (multiplicity 1)
Ru 0.7558 0.3226 0.2178 (multiplicity 1)
Ru 0.8612 0.6782 0.0474 (multiplicity 1)
Ru 0.8616 0.8763 0.3699 (multiplicity 1)



Number 2 is which compound? CsLaO2